Simulated powder XRD pattern
Compound: CaPrTm2Tl4
Radiation: Cu Kα (weighted mean of Kα1 and Kα2)
Structure: the PBE geometry in Alexandria
Neutral-atom scattering factors, no anomalous dispersion.

Structure:
Unit cell a=9.443 b=9.443 c=9.443 alpha=33.24 beta=33.24 gamma=33.24
Sites, in units of the cell vectors:
1 Ca 0.000 0.000 0.000
2 Pr 0.500 0.500 0.500
3 Tm 0.252 0.252 0.252
4 Tm 0.748 0.748 0.748
5 Tl 0.124 0.124 0.124
6 Tl 0.374 0.374 0.374
7 Tl 0.626 0.626 0.626
8 Tl 0.876 0.876 0.876

The 10 most intense peaks (2θ = 15–90°), low angle first:
2θ/deg  d/Å  I/Imax
32.93  2.720  100
33.16  2.701  99
47.44  1.917  36
58.66  1.574  19
59.10  1.563  38
59.25  1.560  19
69.07  1.360  12
69.61  1.351  12
78.79  1.215  16
79.18  1.210  16

---

Simulated powder XRD pattern
Compound: Ca2PrTmTl4
Radiation: Cu Kα (weighted mean of Kα1 and Kα2)
Structure: the PBE geometry in Alexandria
Neutral-atom scattering factors, no anomalous dispersion.

Structure:
Unit cell a=9.504 b=9.504 c=9.504 alpha=33.42 beta=33.42 gamma=33.42
Sites, in units of the cell vectors:
1 Ca 0.249 0.249 0.249
2 Ca 0.751 0.751 0.751
3 Pr 0.000 0.000 0.000
4 Tm 0.500 0.500 0.500
5 Tl 0.127 0.127 0.127
6 Tl 0.378 0.378 0.378
7 Tl 0.622 0.622 0.622
8 Tl 0.873 0.873 0.873

The 10 most intense peaks (2θ = 15–90°), low angle first:
2θ/deg  d/Å  I/Imax
19.87  4.468  16
22.98  3.870  27
32.67  2.741  100
32.78  2.732  100
46.95  1.935  37
58.24  1.584  19
58.46  1.579  58
68.70  1.366  12
78.00  1.225  16
78.17  1.223  16

---

Simulated powder XRD pattern
Compound: CaPr6Tm2
Radiation: Cu Kα (weighted mean of Kα1 and Kα2)
Structure: the PBE geometry in Alexandria
Neutral-atom scattering factors, no anomalous dispersion.

Structure:
Unit cell a=6.142 b=6.142 c=11.694 alpha=90.00 beta=90.00 gamma=120.00
Sites, in units of the cell vectors:
1 Ca 0.000 0.000 0.000
2 Pr 0.000 0.329 0.263
3 Pr 0.000 0.671 0.737
4 Pr 0.329 0.000 0.263
5 Pr 0.329 0.329 0.737
6 Pr 0.671 0.000 0.737
7 Pr 0.671 0.671 0.263
8 Tm 0.333 0.667 0.500
9 Tm 0.667 0.333 0.500

The 10 most intense peaks (2θ = 15–90°), low angle first:
2θ/deg  d/Å  I/Imax
15.15  5.847  31
18.32  4.842  25
30.08  2.970  100
30.58  2.923  37
32.94  2.719  85
37.27  2.412  62
48.95  1.861  20
51.54  1.773  28
55.87  1.646  20
61.13  1.516  31

---

Simulated powder XRD pattern
Compound: CaPr6Tm4
Radiation: Cu Kα (weighted mean of Kα1 and Kα2)
Structure: the PBE geometry in Alexandria
Neutral-atom scattering factors, no anomalous dispersion.

Structure:
Unit cell a=10.082 b=10.082 c=10.082 alpha=141.78 beta=141.78 gamma=55.17
Sites, in units of the cell vectors:
1 Ca 0.000 0.000 0.000
2 Pr 0.000 0.500 0.500
3 Pr 0.185 0.185 0.649
4 Pr 0.464 0.815 0.000
5 Pr 0.500 0.000 0.500
6 Pr 0.536 0.536 0.351
7 Pr 0.815 0.464 0.000
8 Tm 0.008 0.644 0.000
9 Tm 0.356 0.356 0.364
10 Tm 0.644 0.008 0.000
11 Tm 0.992 0.992 0.636

The 10 most intense peaks (2θ = 15–90°), low angle first:
2θ/deg  d/Å  I/Imax
21.48  4.138  25
27.63  3.228  35
28.83  3.097  47
30.00  2.979  40
30.69  2.913  100
33.76  2.655  46
35.76  2.511  19
39.59  2.276  51
43.34  2.088  21
57.81  1.595  27

---

Simulated powder XRD pattern
Compound: CaPr5Tm2
Radiation: Cu Kα (weighted mean of Kα1 and Kα2)
Structure: the PBE geometry in Alexandria
Neutral-atom scattering factors, no anomalous dispersion.

Structure:
Unit cell a=10.502 b=10.502 c=6.072 alpha=106.73 beta=106.73 gamma=102.35
Sites, in units of the cell vectors:
1 Ca 0.156 0.844 0.750
2 Ca 0.844 0.156 0.250
3 Pr 0.114 0.225 0.918
4 Pr 0.171 0.459 0.565
5 Pr 0.225 0.114 0.418
6 Pr 0.302 0.698 0.250
7 Pr 0.459 0.171 0.065
8 Pr 0.541 0.829 0.935
9 Pr 0.698 0.302 0.750
10 Pr 0.775 0.886 0.582
11 Pr 0.829 0.541 0.435
12 Pr 0.886 0.775 0.082
13 Tm 0.000 0.500 0.000
14 Tm 0.500 0.000 0.500
15 Tm 0.500 0.500 0.000
16 Tm 0.500 0.500 0.500

The 10 most intense peaks (2θ = 15–90°), low angle first:
2θ/deg  d/Å  I/Imax
23.45  3.793  23
27.37  3.258  24
28.13  3.172  39
29.33  3.045  100
29.42  3.036  44
31.04  2.881  77
33.25  2.695  27
34.69  2.586  79
52.08  1.756  21
52.18  1.753  20

---

Simulated powder XRD pattern
Compound: CaPr5Y5
Radiation: Cu Kα (weighted mean of Kα1 and Kα2)
Structure: the PBE geometry in Alexandria
Neutral-atom scattering factors, no anomalous dispersion.

Structure:
Unit cell a=6.277 b=6.277 c=11.872 alpha=90.00 beta=90.00 gamma=120.00
Sites, in units of the cell vectors:
1 Ca 0.000 0.000 0.000
2 Pr 0.000 0.000 0.312
3 Pr 0.000 0.000 0.688
4 Pr 0.333 0.667 0.170
5 Pr 0.333 0.667 0.830
6 Pr 0.667 0.333 0.000
7 Y 0.001 0.500 0.500
8 Y 0.500 0.500 0.500
9 Y 0.500 0.999 0.500
10 Y 0.667 0.333 0.264
11 Y 0.667 0.333 0.736

The 10 most intense peaks (2θ = 15–90°), low angle first:
2θ/deg  d/Å  I/Imax
27.89  3.199  100
28.44  3.138  93
29.44  3.034  20
32.27  2.774  36
33.83  2.649  36
34.43  2.605  25
50.02  1.823  39
50.36  1.812  19
51.06  1.789  23
58.85  1.569  24

---

Simulated powder XRD pattern
Compound: CaPr2Y4
Radiation: Cu Kα (weighted mean of Kα1 and Kα2)
Structure: the PBE geometry in Alexandria
Neutral-atom scattering factors, no anomalous dispersion.

Structure:
Unit cell a=6.973 b=6.973 c=6.973 alpha=103.40 beta=103.40 gamma=122.46
Sites, in units of the cell vectors:
1 Ca 0.000 0.000 0.000
2 Pr 0.250 0.750 0.500
3 Pr 0.750 0.250 0.500
4 Y 0.301 0.301 0.603
5 Y 0.301 0.699 0.000
6 Y 0.699 0.301 0.000
7 Y 0.699 0.699 0.397

The 10 most intense peaks (2θ = 15–90°), low angle first:
2θ/deg  d/Å  I/Imax
26.61  3.350  19
29.22  3.056  58
30.38  2.942  44
32.76  2.733  31
33.83  2.650  100
41.80  2.161  13
42.66  2.119  14
52.55  1.742  23
54.82  1.675  21
61.26  1.513  17

---

Simulated powder XRD pattern
Compound: CaPr8Y2
Radiation: Cu Kα (weighted mean of Kα1 and Kα2)
Structure: the PBE geometry in Alexandria
Neutral-atom scattering factors, no anomalous dispersion.

Structure:
Unit cell a=5.607 b=8.659 c=8.659 alpha=104.84 beta=90.00 gamma=90.00
Sites, in units of the cell vectors:
1 Ca 0.000 0.000 0.000
2 Pr 0.000 0.099 0.600
3 Pr 0.000 0.337 0.337
4 Pr 0.000 0.600 0.099
5 Pr 0.000 0.655 0.655
6 Pr 0.500 0.019 0.306
7 Pr 0.500 0.306 0.019
8 Pr 0.500 0.709 0.954
9 Pr 0.500 0.954 0.709
10 Y 0.500 0.367 0.621
11 Y 0.500 0.621 0.367

The 10 most intense peaks (2θ = 15–90°), low angle first:
2θ/deg  d/Å  I/Imax
26.58  3.354  20
30.55  2.927  100
30.69  2.914  77
31.92  2.803  47
32.08  2.790  41
45.89  1.978  30
53.45  1.714  22
56.07  1.640  32
56.15  1.638  17
61.47  1.508  25